Structure and simulated powder diffraction line list of PrPtF7 (the PBE geometry in the Materials Project; Cu Kα, 1.54184 Å).

Top 10 peaks for 2θ from 5° to 70°, by angle:
| 2θ (°) | intensity | (hkl) |
| --- | --- | --- |
| 21.4 | 100 | 1 1 -2 |
| 21.8 | 43 | 2 0 0 |
| 22.6 | 15 | 0 1 2 |
| 25.5 | 14 | 2 1 -2 |
| 28.3 | 32 | 1 1 2 |
| 31.4 | 17 | 0 2 0 |
| 43.4 | 14 | 1 2 -4 |
| 43.7 | 17 | 3 0 2 |
| 46.9 | 25 | 2 1 -6 |
| 50.3 | 14 | 1 3 -2 |

Unit cell a=9.243 b=5.702 c=12.370 alpha=90.00 beta=118.14 gamma=90.00
Fractional positions:
1 Pr 0.189 0.239 0.264
2 Pr 0.189 0.261 0.764
3 Pr 0.811 0.739 0.236
4 Pr 0.811 0.761 0.736
5 Pt 0.273 0.743 0.042
6 Pt 0.273 0.757 0.542
7 Pt 0.727 0.243 0.458
8 Pt 0.727 0.257 0.958
9 F 0.032 0.743 0.951
10 F 0.032 0.757 0.451
11 F 0.033 0.595 0.731
12 F 0.033 0.905 0.231
13 F 0.258 0.559 0.172
14 F 0.258 0.941 0.672
15 F 0.272 0.031 0.130
16 F 0.272 0.469 0.630
17 F 0.282 0.049 0.461
18 F 0.282 0.451 0.961
19 F 0.293 0.569 0.416
20 F 0.293 0.931 0.916
21 F 0.486 0.234 0.362
22 F 0.486 0.266 0.862
23 F 0.514 0.734 0.138
24 F 0.514 0.766 0.638
25 F 0.707 0.069 0.084
26 F 0.707 0.431 0.584
27 F 0.718 0.549 0.039
28 F 0.718 0.951 0.539
29 F 0.728 0.531 0.370
30 F 0.728 0.969 0.870
31 F 0.742 0.059 0.328
32 F 0.742 0.441 0.828
33 F 0.967 0.095 0.769
34 F 0.967 0.405 0.269
35 F 0.968 0.243 0.549
36 F 0.968 0.257 0.049